No. 1
CsKHg2SbAs: computed powder X-ray diffraction pattern (a wavelength of 1.5418 Å), based on a PBE-relaxed structure.

Principal peaks in the range 2θ from 10° to 90°, in order of rising 2θ:
2θ (°)	Rel. int.
16.06	40.3
22.86	30.9
26.85	100.0
32.46	25.9
37.47	56.6
41.01	24.8
45.10	13.4
46.70	22.0
50.40	37.0
61.33	23.4

Atomic structure:
```
6
Lattice="4.8003 0.0000 0.0000 -2.4001 4.1572 0.0000 0.0000 0.0000 11.0357" Properties=species:S:1:pos:R:3 pbc="T T T"
Cs 0.0000 0.0000 0.0000
K 0.0000 0.0000 5.2969
Hg 0.0000 2.7714 7.8186
Hg 2.4001 1.3857 2.9112
Sb 2.4001 1.3857 8.0270
As 0.0000 2.7714 2.8117
```

No. 2
Er5Tm3Al: computed powder X-ray diffraction pattern (a wavelength of 1.5418 Å), based on a PBE-relaxed structure.

Principal peaks in the range 2θ from 10° to 90°, in order of rising 2θ:
2θ (°)	Rel. int.
29.59	40.2
31.84	100.0
33.66	69.6
33.81	30.1
39.20	15.8
47.01	17.7
51.56	11.0
56.54	24.6
59.06	17.7
63.00	23.0

Atomic structure:
```
9
Lattice="9.2224 0.0000 0.0000 -4.6112 7.9868 0.0000 0.0000 0.0000 3.5449" Properties=species:S:1:pos:R:3 pbc="T T T"
Er -1.2671 2.1947 0.0000
Er 2.5342 0.0000 0.0000
Er 0.0000 5.3246 0.0000
Er 4.6112 2.6623 0.0000
Er 3.3441 5.7922 0.0000
Tm -2.8866 4.9997 1.7725
Tm 1.7246 2.9871 1.7725
Tm 5.7732 0.0000 1.7725
Al 0.0000 0.0000 1.7725
```

No. 3
TbTm2Ga3FeGe2: computed powder X-ray diffraction pattern (a wavelength of 1.5418 Å), based on a PBE-relaxed structure.

Principal peaks in the range 2θ from 10° to 90°, in order of rising 2θ:
2θ (°)	Rel. int.
25.68	12.2
33.80	100.0
36.99	18.8
37.11	40.5
39.69	24.3
39.88	11.6
43.93	23.7
45.43	11.7
60.68	13.8
74.26	10.2

Atomic structure:
```
9
Lattice="4.1221 0.0000 0.0000 0.0000 6.0179 3.4525 0.0000 -6.0179 3.4525" Properties=species:S:1:pos:R:3 pbc="T T T"
Tb 0.0000 0.0000 0.0000
Tm 0.0000 -2.4058 2.7488
Tm 0.0000 2.4058 2.7488
Ga 2.0611 0.0000 2.5664
Ga 2.0611 -1.3655 4.8992
Ga 2.0611 1.3655 4.8992
Fe 0.0000 0.0000 4.1038
Ge 2.0611 -3.9898 4.1273
Ge 2.0611 3.9898 4.1273
```